Diffraction record for Hf3Zn2B2. The powder diffractogram is simulated, not measured: it uses a structure optimized by DFT (PBE) and a wavelength of 1.5418 Å.
Peak positions follow from Bragg's law for the DFT cell and can differ from measured ones.

Principal peaks in the range 2θ from 10° to 90°, by intensity:
d (Å)	2θ/deg	Rel. int.
2.141	42.2	100
2.188	41.3	90
3.061	29.2	72
2.818	31.7	42
3.509	25.4	35
3.656	24.3	35
1.245	76.5	29
1.530	60.5	29
1.600	57.6	23
1.236	77.2	17

Cell and atoms:
```
7
Lattice="2.141 1.236 7.226 -2.141 1.236 7.226 0.000 -2.473 7.226" Properties=species:S:1:pos:R:3 pbc="T T T"
Hf 0.000 0.000 0.000
Hf 0.000 0.000 5.164
Hf 0.000 0.000 10.367
Zn 0.000 0.000 2.483
Zn 0.000 0.000 13.482
B 0.000 0.000 7.753
B 0.000 0.000 18.842
```

---

Diffraction record for Pd3O5. The powder diffractogram is simulated, not measured: it uses a structure optimized by DFT (PBE) and a wavelength of 1.5418 Å.
Peak positions follow from Bragg's law for the DFT cell and can differ from measured ones.

Principal peaks in the range 2θ from 10° to 90°, by intensity:
d (Å)	2θ/deg	Rel. int.
2.954	30.3	100
2.720	32.9	92
1.743	52.5	63
2.422	37.1	35
1.516	61.1	29
1.419	65.8	21
2.511	35.8	20
1.827	49.9	19
1.522	60.9	16
1.618	56.9	13

Cell and atoms:
```
16
Lattice="5.713 -2.511 0.000 5.713 2.511 0.000 -1.827 0.000 6.207" Properties=species:S:1:pos:R:3 pbc="T T T"
Pd 0.000 0.000 0.000
Pd -0.913 0.000 3.104
Pd 2.652 0.005 4.116
Pd 3.565 -0.005 1.013
Pd 6.034 0.005 5.194
Pd 6.947 -0.005 2.091
O 2.229 1.349 5.780
O 3.247 1.245 2.535
O 4.343 0.855 4.655
O 6.456 1.349 3.531
O 7.265 1.245 0.569
O 2.334 -1.245 5.638
O 3.143 -1.349 2.676
O 5.256 -0.855 1.552
O 6.351 -1.245 3.672
O 7.369 -1.349 0.427
```

---

Diffraction record for K5OsO6. The powder diffractogram is simulated, not measured: it uses a structure optimized by DFT (PBE) and a wavelength of 1.5418 Å.
Peak positions follow from Bragg's law for the DFT cell and can differ from measured ones.

Principal peaks in the range 2θ from 10° to 90°, by intensity:
d (Å)	2θ/deg	Rel. int.
2.531	35.5	100
5.209	17.0	88
2.955	30.2	74
4.652	19.1	65
5.759	15.4	59
2.576	34.8	52
5.411	16.4	48
3.944	22.5	39
2.971	30.1	38
2.880	31.1	33

Cell and atoms:
```
12
Lattice="3.179 -5.411 0.000 3.179 5.411 0.000 -2.193 0.000 5.759" Properties=species:S:1:pos:R:3 pbc="T T T"
K 0.000 0.000 0.000
K 2.083 3.617 2.880
K 3.179 1.854 0.000
K 3.179 -1.854 0.000
K 2.083 -3.617 2.880
Os 2.083 0.000 2.880
O 1.302 1.367 1.750
O 0.511 0.000 3.981
O 1.302 -1.367 1.750
O 2.864 1.367 4.010
O 3.655 0.000 1.779
O 2.864 -1.367 4.010
```

---

Diffraction record for CoSn10Te10. The powder diffractogram is simulated, not measured: it uses a structure optimized by DFT (PBE) and a wavelength of 1.5418 Å.
Peak positions follow from Bragg's law for the DFT cell and can differ from measured ones.

Principal peaks in the range 2θ from 10° to 90°, by intensity:
d (Å)	2θ/deg	Rel. int.
3.007	29.7	100
3.450	25.8	85
2.893	30.9	55
2.819	31.7	40
2.142	42.2	39
2.255	40.0	30
2.713	33.0	28
2.622	34.2	28
2.416	37.2	23
2.072	43.7	20

Cell and atoms:
```
42
Lattice="11.871 0.000 0.000 0.000 12.431 0.000 0.000 0.000 9.022" Properties=species:S:1:pos:R:3 pbc="T T T"
Co 0.000 0.000 0.000
Co 5.935 6.215 0.000
Sn 0.000 6.215 2.385
Sn 0.000 6.215 6.637
Sn 1.387 2.117 0.000
Sn 1.536 11.497 1.930
Sn 1.536 11.497 7.092
Sn 2.832 2.471 4.511
Sn 3.104 8.686 4.511
Sn 4.399 5.281 1.930
Sn 4.399 5.281 7.092
Sn 4.549 8.332 0.000
Sn 5.935 0.000 2.385
Sn 5.935 0.000 6.637
Sn 7.322 4.099 0.000
Sn 7.471 7.149 1.930
Sn 7.471 7.149 7.092
Sn 8.767 3.745 4.511
Sn 9.039 9.960 4.511
Sn 10.335 0.934 1.930
Sn 10.335 0.934 7.092
Sn 10.484 10.314 0.000
Te 0.045 10.393 4.511
Te 1.639 5.035 0.000
Te 2.103 8.510 1.725
Te 2.103 8.510 7.297
Te 2.328 5.561 4.511
Te 3.607 11.776 4.511
Te 3.833 2.294 1.725
Te 3.833 2.294 7.297
Te 4.296 11.250 0.000
Te 5.891 4.178 4.511
Te 5.980 8.253 4.511
Te 7.575 1.181 0.000
Te 8.038 10.137 1.725
Te 8.038 10.137 7.297
Te 8.264 0.654 4.511
Te 9.542 6.870 4.511
Te 9.768 3.921 1.725
Te 9.768 3.921 7.297
Te 10.232 7.396 0.000
Te 11.826 2.037 4.511
```

---

Diffraction record for Tb2GdAl3Si2Ir. The powder diffractogram is simulated, not measured: it uses a structure optimized by DFT (PBE) and a wavelength of 1.5418 Å.
Peak positions follow from Bragg's law for the DFT cell and can differ from measured ones.

Principal peaks in the range 2θ from 10° to 90°, by intensity:
d (Å)	2θ/deg	Rel. int.
2.454	36.6	100
4.234	21.0	59
3.011	29.7	56
2.687	33.3	50
2.006	45.2	38
3.475	25.6	30
1.554	59.5	23
1.732	52.9	23
1.313	71.9	23
2.117	42.7	23

Cell and atoms:
```
9
Lattice="4.234 0.000 0.000 0.000 6.022 3.476 0.000 -6.022 3.476" Properties=species:S:1:pos:R:3 pbc="T T T"
Tb 0.000 -3.520 3.476
Tb 0.000 3.520 3.476
Gd 0.000 0.000 4.334
Al 2.117 -1.401 2.250
Al 2.117 1.401 2.250
Al 2.117 0.000 6.782
Si 2.117 -2.012 4.920
Si 2.117 2.012 4.920
Ir 0.000 0.000 1.436
```

---

Diffraction record for SmLuFe2Si2. The powder diffractogram is simulated, not measured: it uses a structure optimized by DFT (PBE) and a wavelength of 1.5418 Å.
Peak positions follow from Bragg's law for the DFT cell and can differ from measured ones.

Principal peaks in the range 2θ from 10° to 90°, by intensity:
d (Å)	2θ/deg	Rel. int.
3.426	26.0	100
2.142	42.2	64
2.528	35.5	62
2.017	44.9	49
2.611	34.3	42
2.852	31.4	36
1.738	52.7	30
1.577	58.5	29
1.505	61.6	22
1.206	79.5	21

Cell and atoms:
```
6
Lattice="4.034 0.000 0.000 0.000 4.034 0.000 0.000 0.000 6.489" Properties=species:S:1:pos:R:3 pbc="T T T"
Sm 0.000 0.000 0.000
Lu 2.017 2.017 2.381
Fe 0.000 2.017 4.325
Fe 2.017 0.000 4.325
Si 0.000 0.000 3.192
Si 2.017 2.017 5.506
```